Mn6Cl7F5: computed powder diffraction line list (Cu Kα), based on a DFT-relaxed cell (PBE+U, Alexandria).
Intensities are scaled so that the largest is 100.

Most intense lines, 5 to 70 degrees two-theta, by angle:
2θ (°)	I/Imax	hkl
20.4	69	0 2 0
24.4	100	0 0 2
29.5	60	3 1 1
32.2	49	3 2 0
33.2	23	0 3 1
35.0	36	3 0 2
41.4	35	0 4 0
41.8	91	3 3 1
46.3	45	3 1 3
50.1	15	0 0 4
50.7	26	6 0 0
55.5	60	3 3 3

Structural model:
Cell: 10.807 8.717 7.283 Å, 90.00 90.00 90.00°
Space group Amm2 (No. 38)
Symmetry-distinct sites (fractional):
Mn: 0.000 0.000 0.000
Mn: 0.165 0.000 0.491
Mn: 0.318 0.000 0.989
Mn: 0.500 0.000 0.544
Cl: 0.000 0.202 0.497
Cl: 0.327 0.202 0.529
Cl: 0.500 0.000 0.208
F: 0.160 0.000 0.814
F: 0.161 0.000 0.187
F: 0.500 0.000 0.826